No. 1
Th2Co2Ge3: theoretical X-ray powder pattern (CuKα), based on a DFT-relaxed cell (GGA-PBE, Alexandria).
Kinematic intensities with the Lorentz-polarization factor, no thermal factor.

Top 6 peaks for 2θ = 15–90°, by angle:
- hkl 0 4 1, 23.41 deg, intensity 326
- hkl 1 1 2, 33.96 deg, intensity 922
- hkl 1 5 1, 34.93 deg, intensity 1000
- hkl 2 0 0, 42.51 deg, intensity 351
- hkl 0 4 3, 44.35 deg, intensity 332
- hkl 2 4 3, 63.11 deg, intensity 232

Crystal structure
Cell lengths 4.253, 18.266, 6.851 Å; angles 90.00, 90.00, 90.00 degrees
Space group Cmcm (No. 63)
Symmetry-distinct sites (fractional):
Th1 0.000 0.051 0.250 x4
Th2 0.000 0.165 0.750 x4
Co1 0.000 0.303 0.551 x8
Ge1 0.000 0.218 0.250 x4
Ge2 0.000 0.432 0.060 x8


No. 2
NaY5Pb6: theoretical X-ray powder pattern (CuKα), based on a DFT-relaxed cell (GGA-PBE, Alexandria).
Kinematic intensities with the Lorentz-polarization factor, no thermal factor.

Top 6 peaks for 2θ = 15–90°, by angle:
- hkl 1 0 1, 25.09 deg, intensity 174
- hkl 1 2 1, 32.19 deg, intensity 1000
- hkl 0 0 3, 35.55 deg, intensity 192
- hkl 2 0 -1, 36.01 deg, intensity 186
- hkl 1 2 4, 61.74 deg, intensity 153
- hkl 3 2 0, 62.35 deg, intensity 152

Crystal structure
Cell lengths 4.988, 8.951, 7.979 Å; angles 90.00, 108.29, 90.00 degrees
Space group P2/m (No. 10)
Symmetry-distinct sites (fractional):
Na1 0.000 0.000 0.000 x1
Y1 0.000 0.500 0.000 x1
Y2 0.337 0.500 0.674 x2
Y3 0.340 0.000 0.680 x2
Pb1 0.168 0.249 0.337 x4
Pb2 0.500 0.248 0.000 x2